The following is a theoretical XRD peak list of Y5Tl2Os2. It was derived from a DFT-relaxed cell (GGA-PBE, Alexandria), using Cu Kα X-rays.
Kinematic intensities with the Lorentz-polarization factor, no thermal factor.

```
data_Y5Tl2Os2
_chemical_formula_sum 'Y20 Tl8 Os8'
_symmetry_space_group_name_H-M 'C m c e'
_symmetry_Int_Tables_number 64
_symmetry_space_group_name_Hall '-C 2ac 2'
_cell_length_a 16.622
_cell_length_b 7.518
_cell_length_c 7.591
_cell_angle_alpha 90.00
_cell_angle_beta 90.00
_cell_angle_gamma 90.00
loop_
_atom_site_label
_atom_site_type_symbol
_atom_site_fract_x
_atom_site_fract_y
_atom_site_fract_z
Y1 Y 0.000 0.000 0.000
Y2 Y 0.119 0.182 0.320
Tl1 Tl 0.225 0.000 0.000
Os1 Os 0.000 0.113 0.618
```

The 10 most intense peaks (10° ≤ 2θ ≤ 90°), in order of falling intensity:
2θ 37.91, I 100.0
2θ 32.11, I 98.2
2θ 31.93, I 91.1
2θ 34.27, I 81.3
2θ 33.55, I 74.0
2θ 30.94, I 70.9
2θ 43.58, I 60.6
2θ 23.13, I 59.8
2θ 41.62, I 50.8
2θ 21.38, I 47.4